# 1
Diffraction record for LaPrY3. The powder diffractogram is theoretical, not measured: it uses the GGA-PBE geometry in Alexandria and Cu Kα X-rays.
No peak broadening, texture or thermal motion is included.

The 10 most intense peaks (2θ from 10° to 80°), by angle:
d [Å]  Position (°2θ)  I/Imax
2.970  30.09  100
2.958  30.21  99
2.567  34.95  100
1.820  50.12  12
1.816  50.25  47
1.809  50.44  12
1.550  59.67  55
1.545  59.86  27
1.485  62.54  12
1.479  62.82  12

Cell lengths 10.275, 3.640, 18.092 Å; angles 90.00, 90.00, 90.00 degrees
Sites, in units of the cell vectors:
1 La 0.122 0.250 0.151
2 La 0.378 0.750 0.651
3 La 0.622 0.250 0.349
4 La 0.878 0.750 0.849
5 Pr 0.126 0.250 0.549
6 Pr 0.374 0.750 0.049
7 Pr 0.626 0.250 0.951
8 Pr 0.874 0.750 0.451
9 Y 0.124 0.250 0.350
10 Y 0.126 0.250 0.949
11 Y 0.127 0.250 0.751
12 Y 0.373 0.750 0.251
13 Y 0.374 0.750 0.449
14 Y 0.376 0.750 0.850
15 Y 0.624 0.250 0.150
16 Y 0.626 0.250 0.551
17 Y 0.627 0.250 0.749
18 Y 0.873 0.750 0.249
19 Y 0.874 0.750 0.051
20 Y 0.876 0.750 0.650

# 2
Diffraction record for Pa2TcOsN6. The powder diffractogram is theoretical, not measured: it uses the GGA-PBE geometry in Alexandria and Cu Kα X-rays.
No peak broadening, texture or thermal motion is included.

The 10 most intense peaks (2θ from 10° to 80°), by angle:
d [Å]  Position (°2θ)  I/Imax
3.959  22.46  26
2.837  31.54  93
2.764  32.39  100
1.980  45.84  38
1.789  51.04  29
1.609  57.24  37
1.596  57.77  24
1.382  67.81  13
1.351  69.57  11
1.242  76.70  15

Cell lengths 5.677, 5.677, 5.677 Å; angles 58.27, 58.27, 58.27 degrees
Sites, in units of the cell vectors:
1 Pa 0.000 0.000 0.000
2 Pa 0.496 0.496 0.496
3 Tc 0.216 0.216 0.216
4 Os 0.709 0.709 0.709
5 N 0.069 0.432 0.846
6 N 0.353 0.936 0.562
7 N 0.432 0.846 0.069
8 N 0.562 0.353 0.936
9 N 0.846 0.069 0.432
10 N 0.936 0.562 0.353

# 3
Diffraction record for LiPmGa4. The powder diffractogram is theoretical, not measured: it uses the GGA-PBE geometry in Alexandria and Cu Kα X-rays.
No peak broadening, texture or thermal motion is included.

The 10 most intense peaks (2θ from 10° to 80°), by angle:
d [Å]  Position (°2θ)  I/Imax
5.219  16.99  36
3.663  24.30  90
2.609  34.37  49
2.559  35.07  100
2.465  36.45  31
2.250  40.08  90
2.222  40.61  30
2.156  41.91  40
1.813  50.34  30
1.662  55.28  25

Cell lengths 5.688, 5.688, 5.688 Å; angles 135.46, 104.75, 91.87 degrees
Sites, in units of the cell vectors:
1 Li 0.000 0.000 0.000
2 Pm 0.500 0.000 0.500
3 Ga 0.037 0.336 0.701
4 Ga 0.365 0.664 0.701
5 Ga 0.635 0.336 0.299
6 Ga 0.963 0.664 0.299

# 4
Diffraction record for Dy3ErAs4. The powder diffractogram is theoretical, not measured: it uses the GGA-PBE geometry in Alexandria and Cu Kα X-rays.
No peak broadening, texture or thermal motion is included.

The 8 most intense peaks (2θ from 10° to 80°), by angle:
d [Å]  Position (°2θ)  I/Imax
3.355  26.56  23
2.906  30.77  100
2.055  44.07  75
1.752  52.20  12
1.678  54.71  26
1.453  64.09  12
1.333  70.65  5
1.300  72.77  34

Cell lengths 7.116, 7.116, 4.111 Å; angles 90.00, 90.00, 109.47 degrees
Sites, in units of the cell vectors:
1 Dy 0.000 0.000 0.000
2 Dy 0.000 0.500 0.500
3 Dy 0.500 0.000 0.500
4 Er 0.500 0.500 0.000
5 As 0.251 0.749 0.000
6 As 0.252 0.252 0.500
7 As 0.748 0.748 0.500
8 As 0.749 0.251 0.000

# 5
Diffraction record for RbBe2HgBr8. The powder diffractogram is theoretical, not measured: it uses the GGA-PBE geometry in Alexandria and Cu Kα X-rays.
No peak broadening, texture or thermal motion is included.

The 10 most intense peaks (2θ from 10° to 80°), by angle:
d [Å]  Position (°2θ)  I/Imax
5.603  15.82  17
4.528  19.60  34
4.120  21.57  19
3.309  26.94  16
3.125  28.56  60
2.744  32.63  100
1.982  45.77  36
1.902  47.83  35
1.563  59.10  17
1.208  79.35  14

Cell lengths 10.631, 10.631, 10.631 Å; angles 36.10, 36.10, 36.10 degrees
Sites, in units of the cell vectors:
1 Rb 0.000 0.000 0.000
2 Be 0.246 0.246 0.246
3 Be 0.754 0.754 0.754
4 Hg 0.500 0.500 0.500
5 Br 0.089 0.452 0.787
6 Br 0.213 0.911 0.548
7 Br 0.319 0.319 0.319
8 Br 0.452 0.787 0.089
9 Br 0.548 0.213 0.911
10 Br 0.681 0.681 0.681
11 Br 0.787 0.089 0.452
12 Br 0.911 0.548 0.213

# 6
Diffraction record for Mg8TlRh2. The powder diffractogram is theoretical, not measured: it uses the GGA-PBE geometry in Alexandria and Cu Kα X-rays.
No peak broadening, texture or thermal motion is included.

The 10 most intense peaks (2θ from 10° to 80°), by angle:
d [Å]  Position (°2θ)  I/Imax
3.902  22.79  42
3.831  23.22  100
3.771  23.59  44
3.357  26.55  32
3.313  26.91  34
3.289  27.11  27
2.381  37.79  32
2.362  38.10  67
2.356  38.20  27
1.988  45.62  31

Cell lengths 4.723, 6.582, 8.088 Å; angles 113.40, 105.41, 92.07 degrees
Sites, in units of the cell vectors:
1 Mg 0.000 0.000 0.000
2 Mg 0.025 0.482 0.063
3 Mg 0.218 0.357 0.413
4 Mg 0.380 0.881 0.657
5 Mg 0.453 0.589 0.889
6 Mg 0.620 0.072 0.248
7 Mg 0.650 0.657 0.310
8 Mg 0.924 0.144 0.655
9 Tl 0.846 0.581 0.654
10 Rh 0.150 0.914 0.328
11 Rh 0.479 0.243 0.986

# 7
Diffraction record for UAgBi2O8. The powder diffractogram is theoretical, not measured: it uses the GGA-PBE geometry in Alexandria and Cu Kα X-rays.
No peak broadening, texture or thermal motion is included.

The 10 most intense peaks (2θ from 10° to 80°), by angle:
d [Å]  Position (°2θ)  I/Imax
3.686  24.15  88
3.547  25.10  83
3.025  29.53  100
2.813  31.81  71
2.556  35.11  48
2.044  44.32  33
1.931  47.06  34
1.872  48.63  27
1.773  51.54  28
1.585  58.20  33

Cell lengths 5.132, 5.132, 7.136 Å; angles 94.63, 94.63, 87.45 degrees
Sites, in units of the cell vectors:
1 U 0.000 0.000 0.000
2 Ag 0.000 0.000 0.500
3 Bi 0.472 0.472 0.743
4 Bi 0.528 0.528 0.257
5 O 0.162 0.162 0.756
6 O 0.211 0.211 0.187
7 O 0.294 0.706 0.500
8 O 0.303 0.697 0.000
9 O 0.697 0.303 0.000
10 O 0.706 0.294 0.500
11 O 0.789 0.789 0.813
12 O 0.838 0.838 0.244

# 8
Diffraction record for Nd9Ho4In11. The powder diffractogram is theoretical, not measured: it uses the GGA-PBE geometry in Alexandria and Cu Kα X-rays.
No peak broadening, texture or thermal motion is included.

The 10 most intense peaks (2θ from 10° to 80°), by angle:
d [Å]  Position (°2θ)  I/Imax
2.809  31.85  100
2.786  32.12  82
2.699  33.19  10
2.516  35.69  69
2.264  39.82  20
1.767  51.72  14
1.683  54.52  22
1.620  56.83  11
1.507  61.55  15
1.496  62.04  26

Cell lengths 14.055, 14.055, 3.535 Å; angles 90.00, 90.00, 99.76 degrees
Sites, in units of the cell vectors:
1 Nd 0.000 0.000 0.000
2 Nd 0.126 0.642 0.000
3 Nd 0.291 0.464 0.000
4 Nd 0.358 0.874 0.000
5 Nd 0.464 0.291 0.000
6 Nd 0.536 0.709 0.000
7 Nd 0.642 0.126 0.000
8 Nd 0.709 0.536 0.000
9 Nd 0.874 0.358 0.000
10 Ho 0.067 0.237 0.000
11 Ho 0.237 0.067 0.000
12 Ho 0.763 0.933 0.000
13 Ho 0.933 0.763 0.000
14 In 0.079 0.431 0.500
15 In 0.135 0.865 0.500
16 In 0.259 0.259 0.500
17 In 0.333 0.667 0.500
18 In 0.431 0.079 0.500
19 In 0.500 0.500 0.500
20 In 0.569 0.921 0.500
21 In 0.667 0.333 0.500
22 In 0.741 0.741 0.500
23 In 0.865 0.135 0.500
24 In 0.921 0.569 0.500

# 9
Diffraction record for Rb2IrBrCl5. The powder diffractogram is theoretical, not measured: it uses the GGA-PBE geometry in Alexandria and Cu Kα X-rays.
No peak broadening, texture or thermal motion is included.

The 10 most intense peaks (2θ from 10° to 80°), by angle:
d [Å]  Position (°2θ)  I/Imax
5.932  14.93  100
3.657  24.34  37
3.621  24.59  39
3.113  28.68  28
2.966  30.13  23
2.586  34.69  49
2.536  35.40  24
2.104  42.98  17
2.084  43.43  17
1.810  50.40  32

Cell lengths 7.243, 7.243, 7.243 Å; angles 119.35, 119.35, 91.12 degrees
Sites, in units of the cell vectors:
1 Rb 0.000 0.500 0.500
2 Rb 0.500 0.000 0.500
3 Ir 0.249 0.249 0.000
4 Br 0.004 0.004 0.000
5 Cl 0.023 0.023 0.546
6 Cl 0.023 0.477 0.000
7 Cl 0.477 0.023 0.000
8 Cl 0.477 0.477 0.454
9 Cl 0.481 0.481 0.000

# 10
Diffraction record for MgBN2. The powder diffractogram is theoretical, not measured: it uses the GGA-PBE geometry in Alexandria and Cu Kα X-rays.
No peak broadening, texture or thermal motion is included.

The 10 most intense peaks (2θ from 10° to 80°), by angle:
d [Å]  Position (°2θ)  I/Imax
2.611  34.34  100
2.494  36.02  46
2.346  38.37  86
2.310  38.99  42
2.282  39.50  72
2.006  45.20  49
1.745  52.43  37
1.646  55.86  29
1.461  63.68  36
1.342  70.14  34

Cell lengths 4.987, 6.129, 4.692 Å; angles 90.00, 90.00, 90.00 degrees
Sites, in units of the cell vectors:
1 Mg 0.090 0.119 0.000
2 Mg 0.410 0.619 0.500
3 Mg 0.590 0.381 0.000
4 Mg 0.910 0.881 0.500
5 B 0.063 0.624 0.013
6 B 0.437 0.124 0.513
7 B 0.563 0.876 0.013
8 B 0.937 0.376 0.513
9 N 0.028 0.579 0.338
10 N 0.130 0.170 0.448
11 N 0.370 0.670 0.948
12 N 0.472 0.079 0.838
13 N 0.528 0.921 0.338
14 N 0.630 0.330 0.448
15 N 0.870 0.830 0.948
16 N 0.972 0.421 0.838

# 11
Diffraction record for NbBr3O. The powder diffractogram is theoretical, not measured: it uses the GGA-PBE geometry in Alexandria and Cu Kα X-rays.
No peak broadening, texture or thermal motion is included.

The 10 most intense peaks (2θ from 10° to 80°), by angle:
d [Å]  Position (°2θ)  I/Imax
5.685  15.59  54
3.797  23.43  100
3.639  24.46  31
3.178  28.08  61
2.979  29.99  20
2.493  36.02  39
2.142  42.18  73
1.990  45.60  18
1.798  50.78  25
1.776  51.44  26

Cell lengths 12.712, 12.712, 3.979 Å; angles 90.00, 90.00, 90.00 degrees
Sites, in units of the cell vectors:
1 Nb 0.118 0.382 0.201
2 Nb 0.382 0.882 0.799
3 Nb 0.618 0.118 0.799
4 Nb 0.882 0.618 0.201
5 Br 0.094 0.191 0.256
6 Br 0.096 0.596 0.265
7 Br 0.191 0.906 0.744
8 Br 0.309 0.406 0.256
9 Br 0.404 0.096 0.735
10 Br 0.406 0.691 0.744
11 Br 0.594 0.309 0.744
12 Br 0.596 0.904 0.735
13 Br 0.691 0.594 0.256
14 Br 0.809 0.094 0.744
15 Br 0.904 0.404 0.265
16 Br 0.906 0.809 0.256
17 O 0.110 0.390 0.748
18 O 0.390 0.890 0.252
19 O 0.610 0.110 0.252
20 O 0.890 0.610 0.748

# 12
Diffraction record for MgIn. The powder diffractogram is theoretical, not measured: it uses the GGA-PBE geometry in Alexandria and Cu Kα X-rays.
No peak broadening, texture or thermal motion is included.

The 10 most intense peaks (2θ from 10° to 80°), by angle:
d [Å]  Position (°2θ)  I/Imax
3.302  27.00  15
2.913  30.69  25
2.723  32.89  100
2.626  34.14  22
2.476  36.28  25
2.299  39.18  61
1.690  54.28  23
1.568  58.89  17
1.436  64.94  13
1.396  67.05  23

Cell lengths 10.096, 10.096, 10.096 Å; angles 19.27, 19.27, 19.27 degrees
Sites, in units of the cell vectors:
1 Mg 0.125 0.125 0.125
2 Mg 0.875 0.875 0.875
3 In 0.377 0.377 0.377
4 In 0.623 0.623 0.623

# 13
Diffraction record for PmHoSnSe. The powder diffractogram is theoretical, not measured: it uses the GGA-PBE geometry in Alexandria and Cu Kα X-rays.
No peak broadening, texture or thermal motion is included.

The 10 most intense peaks (2θ from 10° to 80°), by angle:
d [Å]  Position (°2θ)  I/Imax
3.055  29.23  100
3.022  29.56  49
2.160  41.82  38
2.148  42.06  75
1.757  52.04  40
1.366  68.70  18
1.363  68.88  18
1.354  69.40  17
1.245  76.53  26
1.238  77.03  13

Cell lengths 4.320, 4.320, 6.043 Å; angles 90.00, 90.00, 90.00 degrees
Sites, in units of the cell vectors:
1 Pm 0.000 0.000 0.000
2 Ho 0.500 0.500 0.500
3 Sn 0.500 0.500 0.000
4 Se 0.000 0.000 0.500